[1]
Structure and simulated X-ray diffraction stick pattern of Ba3SrC8O16 (DFT lattice parameters and positions (GGA-PBE); CuKα).
Neutral-atom scattering factors, no anomalous dispersion.

abc: 6.086 7.933 10.441
angles: 103.48 91.00 110.17
Space group P1 (No. 1)
Asymmetric unit:
1 Ba 0.000 0.000 0.000 x1
2 Ba 0.163 0.500 0.660 x1
3 Ba 0.664 0.500 0.163 x1
4 Sr 0.525 0.000 0.521 x1
5 C 0.217 0.282 0.330 x1
6 C 0.247 0.718 0.132 x1
7 C 0.418 0.782 0.028 x1
8 C 0.446 0.216 0.828 x1
9 C 0.719 0.280 0.827 x1
10 C 0.747 0.720 0.631 x1
11 C 0.919 0.788 0.528 x1
12 C 0.942 0.215 0.332 x1
13 O 0.070 0.769 0.140 x1
14 O 0.102 0.744 0.520 x1
15 O 0.291 0.231 0.220 x1
16 O 0.293 0.619 0.200 x1
17 O 0.321 0.118 0.720 x1
18 O 0.346 0.381 0.436 x1
19 O 0.369 0.267 0.936 x1
20 O 0.371 0.879 0.959 x1
21 O 0.571 0.772 0.640 x1
22 O 0.593 0.729 0.019 x1
23 O 0.792 0.622 0.700 x1
24 O 0.794 0.227 0.718 x1
25 O 0.817 0.122 0.224 x1
26 O 0.848 0.378 0.933 x1
27 O 0.862 0.881 0.459 x1
28 O 0.863 0.259 0.442 x1

Principal peaks in the range 5 to 70 degrees two-theta, by angle:
- 2θ = 17.57°, I 58.1
- 2θ = 19.00°, I 31.3
- 2θ = 23.00°, I 35.4
- 2θ = 23.97°, I 100.0
- 2θ = 26.50°, I 41.1
- 2θ = 32.36°, I 40.5
- 2θ = 34.54°, I 49.7
- 2θ = 37.99°, I 31.1

---

[2]
Structure and simulated X-ray diffraction stick pattern of Ba3Ca (DFT lattice parameters and positions (GGA-PBE); CuKα).
Neutral-atom scattering factors, no anomalous dispersion.

abc: 6.192 6.192 6.192
angles: 90.00 90.00 90.00
Space group Pm-3m (No. 221)
Asymmetric unit:
1 Ba 0.000 0.000 0.500 x3
2 Ca 0.500 0.500 0.500 x1

Principal peaks in the range 5 to 70 degrees two-theta, by angle:
- 2θ = 14.30°, I 10.6
- 2θ = 24.91°, I 100.0
- 2θ = 28.84°, I 51.7
- 2θ = 41.24°, I 38.6
- 2θ = 48.78°, I 47.0
- 2θ = 51.10°, I 13.6
- 2θ = 65.74°, I 19.2
- 2θ = 67.67°, I 17.6

---

[3]
Structure and simulated X-ray diffraction stick pattern of Ba3Ca (DFT lattice parameters and positions (GGA-PBE); CuKα).
Neutral-atom scattering factors, no anomalous dispersion.

abc: 8.6881 8.6881 7.0611
angles: 90.00 90.00 120.00
Space group P6_3/mmc (No. 194)
Asymmetric unit:
1 Ba 0.1678 0.3356 0.2500 x6
2 Ca 0.3333 0.6667 0.7500 x2

Principal peaks in the range 5 to 70 degrees two-theta, by angle:
- 2θ = 23.65°, I 22.9
- 2θ = 25.23°, I 26.0
- 2θ = 26.85°, I 100.0
- 2θ = 34.85°, I 16.7
- 2θ = 41.58°, I 20.2
- 2θ = 45.46°, I 23.3
- 2θ = 49.26°, I 24.5
- 2θ = 50.19°, I 17.4

---

[4]
Structure and simulated X-ray diffraction stick pattern of Ba3Ca (DFT lattice parameters and positions (GGA-PBE); CuKα).
Neutral-atom scattering factors, no anomalous dispersion.

abc: 6.102 6.102 12.712
angles: 90.00 90.00 90.00
Space group I4/mmm (No. 139)
Asymmetric unit:
1 Ba 0.000 0.000 0.000 x2
2 Ba 0.000 0.500 0.250 x4
3 Ca 0.000 0.000 0.500 x2

Principal peaks in the range 5 to 70 degrees two-theta, by angle:
- 2θ = 24.94°, I 100.0
- 2θ = 28.08°, I 18.5
- 2θ = 29.27°, I 33.3
- 2θ = 41.01°, I 26.2
- 2θ = 47.83°, I 16.7
- 2θ = 49.35°, I 30.4
- 2θ = 51.17°, I 13.6
- 2θ = 65.42°, I 13.0

---

[5]
Structure and simulated X-ray diffraction stick pattern of Ba6CaNb2IrCl2O12 (DFT lattice parameters and positions (GGA-PBE); CuKα).
Neutral-atom scattering factors, no anomalous dispersion.

abc: 6.017 6.079 16.075
angles: 83.08 89.61 61.30
Space group P1 (No. 1)
Asymmetric unit:
1 Ba 0.000 0.000 0.000 x1
2 Ba 0.005 0.038 0.761 x1
3 Ba 0.197 0.618 0.228 x1
4 Ba 0.315 0.426 0.631 x1
5 Ba 0.343 0.360 0.881 x1
6 Ba 0.895 0.232 0.369 x1
7 Ca 0.785 0.381 0.155 x1
8 Nb 0.538 0.974 0.184 x1
9 Nb 0.674 0.695 0.803 x1
10 Ir 0.625 0.773 0.002 x1
11 Cl 0.282 0.473 0.425 x1
12 Cl 0.914 0.215 0.569 x1
13 O 0.207 0.146 0.229 x1
14 O 0.394 0.815 0.903 x1
15 O 0.405 0.798 0.104 x1
16 O 0.447 0.622 0.742 x1
17 O 0.496 0.066 0.754 x1
18 O 0.516 0.245 0.103 x1
19 O 0.669 0.618 0.261 x1
20 O 0.765 0.037 0.254 x1
21 O 0.821 0.347 0.869 x1
22 O 0.848 0.779 0.902 x1
23 O 0.855 0.722 0.104 x1
24 O 0.967 0.604 0.739 x1

Principal peaks in the range 5 to 70 degrees two-theta, by angle:
- 2θ = 5.55°, I 100.0
- 2θ = 16.96°, I 9.7
- 2θ = 18.38°, I 10.5
- 2θ = 26.16°, I 9.6
- 2θ = 29.10°, I 15.0
- 2θ = 29.68°, I 31.6
- 2θ = 29.84°, I 8.5
- 2θ = 30.79°, I 13.4

---

[6]
Structure and simulated X-ray diffraction stick pattern of Ba6CaNb2IrCl2O12 (DFT lattice parameters and positions (GGA-PBE); CuKα).
Neutral-atom scattering factors, no anomalous dispersion.

abc: 10.592 6.078 15.919
angles: 90.00 100.98 90.00
Space group Cm (No. 8)
Asymmetric unit:
1 Ba 0.000 0.000 0.000 x2
2 Ba 0.021 0.500 0.742 x2
3 Ba 0.248 0.500 0.339 x2
4 Ba 0.319 0.500 0.594 x2
5 Ba 0.381 0.000 0.188 x2
6 Ba 0.451 0.000 0.467 x2
7 Ca 0.193 0.500 0.081 x2
8 Nb 0.064 0.000 0.221 x2
9 Nb 0.140 0.000 0.572 x2
10 Ir 0.100 0.000 0.389 x2
11 Cl 0.389 0.500 0.797 x2
12 Cl 0.493 0.000 0.943 x2
13 O 0.006 0.235 0.303 x4
14 O 0.067 0.243 0.622 x4
15 O 0.127 0.230 0.149 x4
16 O 0.194 0.228 0.475 x4
17 O 0.240 0.000 0.310 x2
18 O 0.313 0.000 0.632 x2
19 O 0.395 0.500 0.140 x2
20 O 0.466 0.500 0.468 x2

Principal peaks in the range 5 to 70 degrees two-theta, by angle:
- 2θ = 5.66°, I 100.0
- 2θ = 25.22°, I 8.4
- 2θ = 27.11°, I 10.3
- 2θ = 29.27°, I 33.1
- 2θ = 29.39°, I 20.5
- 2θ = 29.67°, I 10.4
- 2θ = 39.49°, I 7.8
- 2θ = 52.03°, I 8.8

---

[7]
Structure and simulated X-ray diffraction stick pattern of Ba6CaNb2IrCl2O12 (DFT lattice parameters and positions (GGA-PBE); CuKα).
Neutral-atom scattering factors, no anomalous dispersion.

abc: 6.015 6.205 16.263
angles: 97.42 90.01 118.89
Space group P1 (No. 1)
Asymmetric unit:
1 Ba 0.000 0.000 0.000 x1
2 Ba 0.007 0.016 0.392 x1
3 Ba 0.054 0.113 0.631 x1
4 Ba 0.286 0.573 0.891 x1
5 Ba 0.366 0.729 0.533 x1
6 Ba 0.375 0.751 0.140 x1
7 Ca 0.558 0.115 0.777 x1
8 Nb 0.667 0.336 0.975 x1
9 Nb 0.713 0.425 0.564 x1
10 Ir 0.827 0.659 0.757 x1
11 Cl 0.031 0.061 0.197 x1
12 Cl 0.380 0.762 0.339 x1
13 O 0.021 0.572 0.021 x1
14 O 0.027 0.654 0.657 x1
15 O 0.369 0.188 0.889 x1
16 O 0.380 0.274 0.507 x1
17 O 0.544 0.090 0.044 x1
18 O 0.550 0.573 0.021 x1
19 O 0.585 0.151 0.639 x1
20 O 0.615 0.643 0.658 x1
21 O 0.819 0.189 0.889 x1
22 O 0.823 0.649 0.868 x1
23 O 0.857 0.731 0.506 x1
24 O 0.906 0.288 0.506 x1

Principal peaks in the range 5 to 70 degrees two-theta, by angle:
- 2θ = 5.49°, I 100.0
- 2θ = 18.16°, I 19.8
- 2θ = 24.58°, I 20.9
- 2θ = 25.14°, I 16.8
- 2θ = 28.95°, I 27.6
- 2θ = 29.71°, I 55.0
- 2θ = 29.76°, I 18.9
- 2θ = 31.56°, I 25.4

---

[8]
Structure and simulated X-ray diffraction stick pattern of Ba6CaNb2IrCl2O12 (DFT lattice parameters and positions (GGA-PBE); CuKα).
Neutral-atom scattering factors, no anomalous dispersion.

abc: 6.0755 6.0755 15.2218
angles: 90.00 90.00 120.00
Space group P-3m1 (No. 164)
Asymmetric unit:
1 Ba 0.3333 0.6667 0.0662 x2
2 Ba 0.3333 0.6667 0.3530 x2
3 Ba 0.3333 0.6667 0.7959 x2
4 Ca 0.0000 0.0000 0.5000 x1
5 Nb 0.0000 0.0000 0.1818 x2
6 Ir 0.0000 0.0000 0.0000 x1
7 Cl 0.3333 0.6667 0.5700 x2
8 O 0.1546 0.3092 0.9167 x6
9 O 0.1603 0.3206 0.2412 x6

Principal peaks in the range 5 to 70 degrees two-theta, by angle:
- 2θ = 5.81°, I 100.0
- 2θ = 24.37°, I 18.3
- 2θ = 28.96°, I 43.2
- 2θ = 29.40°, I 74.5
- 2θ = 38.55°, I 14.4
- 2θ = 41.74°, I 20.5
- 2θ = 51.88°, I 16.1
- 2θ = 60.99°, I 15.4